Simulated XRD peak list of CaCr2O7 for CuKα, from DFT lattice parameters and positions (GGA+U).
Intensities are scaled so that the largest is 100.

Atomic structure:
```
CaCr2O7
1.0
6.8756 0.0000 0.0000
0.0000 7.3748 0.0000
-1.8879 0.0000 7.0513
Ca Cr O
2 4 14
Direct
0.1323 0.0000 0.0287
0.8677 0.5000 0.9713
0.2537 0.9188 0.5678
0.3491 0.4980 0.0876
0.6509 0.9980 0.9124
0.7463 0.4188 0.4322
0.1159 0.9927 0.7054
0.1807 0.0050 0.3528
0.1943 0.3219 0.0368
0.1991 0.6775 0.0508
0.2494 0.7023 0.5612
0.4888 0.4910 0.3219
0.4948 0.0013 0.0455
0.5052 0.5013 0.9545
0.5112 0.9910 0.6781
0.7506 0.2023 0.4388
0.8009 0.1775 0.9492
0.8057 0.8219 0.9632
0.8193 0.5050 0.6472
0.8841 0.4927 0.2946
```

Largest 10 diffraction maxima, by angle, 2θ = 15–90°:
17.4 deg, I 45; 18.0 deg, I 43; 19.9 deg, I 100; 23.9 deg, I 21; 24.1 deg, I 77; 25.3 deg, I 74; 26.8 deg, I 19; 29.5 deg, I 43; 31.9 deg, I 19; 45.8 deg, I 18

---

Simulated XRD peak list of CaCr4O9 for CuKα, from DFT lattice parameters and positions (GGA+U).
Intensities are scaled so that the largest is 100.

Atomic structure:
```
CaCr4O9
1.0
8.4681 0.0000 0.0000
0.0000 8.4681 0.0000
0.0000 0.0000 5.0667
Ca Cr O
2 8 18
Direct
0.2500 0.2500 0.1451
0.7500 0.7500 0.8549
0.0388 0.8414 0.3867
0.1586 0.5388 0.6133
0.3414 0.9612 0.6133
0.4612 0.6586 0.3867
0.5388 0.3414 0.6133
0.6586 0.0388 0.3867
0.8414 0.4612 0.3867
0.9612 0.1586 0.6133
0.0121 0.1753 0.9319
0.0386 0.3538 0.4662
0.1462 0.0386 0.4662
0.1753 0.4879 0.9319
0.2500 0.7500 0.5000
0.3247 0.0121 0.9319
0.3538 0.4614 0.4662
0.4614 0.1462 0.4662
0.4879 0.3247 0.9319
0.5121 0.6753 0.0681
0.5386 0.8538 0.5338
0.6462 0.5386 0.5338
0.6753 0.9879 0.0681
0.7500 0.2500 0.5000
0.8247 0.5121 0.0681
0.8538 0.9614 0.5338
0.9614 0.6462 0.5338
0.9879 0.8247 0.0681
```

Largest 10 diffraction maxima, by angle, 2θ = 15–90°:
17.5 deg, I 62; 23.0 deg, I 23; 29.4 deg, I 100; 33.5 deg, I 48; 43.0 deg, I 23; 48.0 deg, I 36; 51.5 deg, I 20; 57.4 deg, I 20; 60.0 deg, I 17; 66.4 deg, I 12

---

Simulated XRD peak list of CaCr2P2O10 for CuKα, from DFT lattice parameters and positions (GGA+U).
Intensities are scaled so that the largest is 100.

Atomic structure:
```
CaCr2P2O10
1.0
0.0000 5.8480 7.9173
3.6277 0.0000 7.9173
3.6277 5.8480 0.0000
Ca Cr P O
2 4 4 20
Direct
0.1250 0.1250 0.1250
0.8750 0.8750 0.8750
0.0000 0.5000 0.5000
0.5000 0.0000 0.5000
0.5000 0.5000 0.0000
0.5000 0.5000 0.5000
0.0824 0.0824 0.6676
0.3324 0.3324 0.9176
0.6676 0.6676 0.0824
0.9176 0.9176 0.3324
0.0497 0.2303 0.4861
0.1149 0.4323 0.1562
0.1562 0.7966 0.1149
0.2034 0.8438 0.5677
0.2303 0.0497 0.7339
0.2661 0.5139 0.7697
0.2939 0.2939 0.4561
0.4323 0.1149 0.7966
0.4561 0.4561 0.2939
0.4861 0.7339 0.0497
0.5139 0.2661 0.9503
0.5439 0.5439 0.7061
0.5677 0.8851 0.2034
0.7061 0.7061 0.5439
0.7339 0.4861 0.2303
0.7697 0.9503 0.2661
0.7966 0.1562 0.4323
0.8438 0.2034 0.8851
0.8851 0.5677 0.8438
0.9503 0.7697 0.5139
```

Largest 10 diffraction maxima, by angle, 2θ = 15–90°:
22.2 deg, I 25; 26.6 deg, I 73; 29.0 deg, I 47; 31.1 deg, I 100; 31.8 deg, I 94; 37.0 deg, I 33; 45.2 deg, I 22; 53.1 deg, I 30; 55.7 deg, I 26; 62.5 deg, I 17

---

Simulated XRD peak list of CaCr2P4O14 for CuKα, from DFT lattice parameters and positions (GGA+U).
Intensities are scaled so that the largest is 100.

Atomic structure:
```
CaCr2P4O14
1.0
6.3788 0.0000 0.0000
0.8091 6.3561 0.0000
0.3836 2.9666 6.3663
Ca Cr P O
1 2 4 14
Direct
0.0000 0.0000 0.0000
0.5357 0.5606 0.1262
0.8251 0.7195 0.7003
0.0490 0.4350 0.1650
0.3092 0.8473 0.6767
0.5684 0.9840 0.2698
0.7833 0.3011 0.5642
0.1154 0.2412 0.1046
0.1380 0.6993 0.6776
0.2168 0.5961 0.1456
0.2409 0.0328 0.7499
0.3856 0.9664 0.4366
0.5135 0.6888 0.7981
0.5143 0.8755 0.1256
0.5847 0.4203 0.4346
0.5916 0.2400 0.1380
0.7771 0.8553 0.3908
0.7891 0.0378 0.6981
0.8376 0.3959 0.7205
0.8507 0.6037 0.0354
0.9790 0.3370 0.4040
```

Largest 10 diffraction maxima, by angle, 2θ = 15–90°:
15.4 deg, I 18; 15.8 deg, I 51; 19.6 deg, I 18; 19.8 deg, I 34; 28.1 deg, I 94; 29.5 deg, I 32; 29.8 deg, I 35; 31.6 deg, I 100; 38.5 deg, I 21; 58.1 deg, I 13

---

Simulated XRD peak list of CaCr4P4O16 for CuKα, from DFT lattice parameters and positions (GGA+U).
Intensities are scaled so that the largest is 100.

Atomic structure:
```
CaCr4P4O16
1.0
5.6321 0.0000 0.0000
1.2476 6.3324 0.0000
1.3864 2.0449 9.0767
Ca Cr P O
1 4 4 16
Direct
0.0000 0.0000 0.0000
0.0692 0.4878 0.0316
0.2454 0.6007 0.4087
0.6203 0.2789 0.2463
0.7953 0.3814 0.6115
0.1264 0.1502 0.3584
0.2346 0.2923 0.7260
0.6290 0.5892 0.9136
0.7362 0.7249 0.2837
0.0454 0.1372 0.7351
0.1036 0.5018 0.6242
0.1219 0.2029 0.1846
0.2007 0.9112 0.4125
0.2264 0.3078 0.8900
0.3118 0.2789 0.3913
0.3623 0.6629 0.9749
0.4965 0.2278 0.6639
0.5430 0.6089 0.2458
0.6365 0.5460 0.7620
0.6880 0.9701 0.2163
0.7464 0.6669 0.4509
0.7518 0.3717 0.0228
0.8153 0.7375 0.9221
0.8729 0.2407 0.4310
0.9893 0.6486 0.1973
```

Largest 10 diffraction maxima, by angle, 2θ = 15–90°:
16.1 deg, I 44; 21.6 deg, I 79; 24.1 deg, I 100; 31.2 deg, I 96; 31.6 deg, I 57; 32.6 deg, I 68; 32.9 deg, I 75; 34.8 deg, I 53; 35.1 deg, I 43; 35.4 deg, I 97

---

Simulated XRD peak list of CaCr4P4O16 for CuKα, from DFT lattice parameters and positions (GGA+U).
Intensities are scaled so that the largest is 100.

Atomic structure:
```
CaCr4P4O16
1.0
5.7043 0.0000 0.0000
1.4276 6.2661 0.0000
1.7275 1.9386 9.0584
Ca Cr P O
1 4 4 16
Direct
0.0000 0.0000 0.0000
0.1890 0.2464 0.2449
0.2561 0.3391 0.6121
0.6318 0.4868 0.0327
0.7419 0.5723 0.3987
0.1287 0.5536 0.9178
0.2920 0.6914 0.3008
0.6439 0.1142 0.3541
0.7921 0.2700 0.7160
0.0474 0.1127 0.7255
0.0985 0.5629 0.2840
0.1180 0.3264 0.0290
0.1946 0.9296 0.2401
0.2070 0.5123 0.7617
0.3012 0.6764 0.9613
0.3614 0.6174 0.4632
0.3745 0.1883 0.4278
0.5525 0.6262 0.2158
0.5886 0.1946 0.6680
0.6408 0.1597 0.1834
0.7154 0.3135 0.8726
0.7340 0.8730 0.4142
0.8100 0.2574 0.3831
0.8747 0.7030 0.9384
0.8808 0.4661 0.5921
```

Largest 10 diffraction maxima, by angle, 2θ = 15–90°:
21.8 deg, I 100; 24.2 deg, I 65; 29.6 deg, I 89; 31.6 deg, I 95; 31.8 deg, I 80; 32.3 deg, I 48; 32.5 deg, I 70; 34.8 deg, I 53; 35.3 deg, I 57; 38.2 deg, I 46

---

Simulated XRD peak list of SrCaCrP2O8 for CuKα, from DFT lattice parameters and positions (GGA+U).
Intensities are scaled so that the largest is 100.

Atomic structure:
```
SrCaCrP2O8
1.0
5.9089 0.0000 0.0000
-1.0242 6.8386 0.0000
-2.0682 -3.3703 8.5552
Sr Ca Cr P O
2 2 2 4 16
Direct
0.2155 0.1921 0.4338
0.7845 0.8079 0.5662
0.4820 0.5760 0.8318
0.5180 0.4240 0.1682
0.1492 0.8432 0.0457
0.8508 0.1568 0.9543
0.1250 0.5872 0.2758
0.3398 0.0308 0.7937
0.6602 0.9692 0.2063
0.8750 0.4128 0.7242
0.0945 0.4556 0.6654
0.1033 0.4142 0.1136
0.1408 0.9372 0.8555
0.1533 0.8019 0.2547
0.2318 0.0011 0.6232
0.3593 0.5735 0.3840
0.4529 0.0898 0.1899
0.4540 0.2663 0.9004
0.5460 0.7337 0.0996
0.5471 0.9102 0.8101
0.6407 0.4265 0.6160
0.7682 0.9989 0.3768
0.8467 0.1981 0.7453
0.8592 0.0628 0.1445
0.8967 0.5858 0.8864
0.9055 0.5444 0.3346
```

Largest 10 diffraction maxima, by angle, 2θ = 15–90°:
21.5 deg, I 36; 28.2 deg, I 100; 29.5 deg, I 50; 30.6 deg, I 66; 30.9 deg, I 46; 31.7 deg, I 27; 32.6 deg, I 53; 39.2 deg, I 21; 41.3 deg, I 19; 45.9 deg, I 20

---

Simulated XRD peak list of CaPrCrO4 for CuKα, from DFT lattice parameters and positions (GGA+U).
Intensities are scaled so that the largest is 100.

Atomic structure:
```
CaPrCrO4
1.0
2.7234 -5.9928 0.0000
2.7234 5.9928 0.0000
0.0000 0.0000 5.6297
Ca Pr Cr O
2 2 2 8
Direct
0.1033 0.8967 0.5000
0.8967 0.1033 0.0000
0.3888 0.6112 0.4681
0.6112 0.3888 0.9681
0.2490 0.7510 0.9825
0.7510 0.2490 0.4825
0.0187 0.4747 0.7373
0.0819 0.9181 0.9188
0.4210 0.5790 0.0442
0.4747 0.0187 0.2373
0.5253 0.9813 0.7373
0.5790 0.4210 0.5442
0.9181 0.0819 0.4188
0.9813 0.5253 0.2373
```

Largest 10 diffraction maxima, by angle, 2θ = 15–90°:
17.9 deg, I 33; 21.7 deg, I 39; 31.8 deg, I 38; 32.0 deg, I 100; 32.9 deg, I 39; 39.7 deg, I 19; 44.3 deg, I 18; 46.4 deg, I 42; 56.8 deg, I 22; 58.2 deg, I 18